Entry 1:
# Tl2OsO4
Simulated powder XRD pattern, Cu Kα X-rays. Input: a DFT-relaxed cell (GGA-PBE, Alexandria).

Structural model:
```
data_Tl2OsO4
_space_group_name_H-M_alt 'C 1 m 1'
_space_group_IT_number 8
_cell_length_a 8.872
_cell_length_b 9.275
_cell_length_c 6.186
_cell_angle_alpha 90.00
_cell_angle_beta 134.04
_cell_angle_gamma 90.00
loop_
_space_group_symop_operation_xyz
'x,y,z'
'x,-y,z'
'x+1/2,y+1/2,z'
'x+1/2,-y+1/2,z'
loop_
_atom_site_label
_atom_site_fract_x
_atom_site_fract_y
_atom_site_fract_z
_atom_site_occupancy
Tl1 0.000 0.223 0.000 1
Os1 0.492 0.000 0.501 1
O1 0.229 0.000 0.130 1
O2 0.264 0.500 0.690 1
O3 0.486 0.184 0.587 1
```

Peak list (10 most intense, 15 to 90 degrees two-theta, by intensity)
- 27.8 deg, I = 100.0
- 17.2 deg, I = 47.3
- 28.9 deg, I = 29.1
- 28.0 deg, I = 28.9
- 49.4 deg, I = 22.3
- 50.5 deg, I = 21.9
- 32.2 deg, I = 13.8
- 20.0 deg, I = 13.7
- 33.0 deg, I = 12.4
- 40.6 deg, I = 11.0

Entry 2:
# Tl4Os6O19
Simulated powder XRD pattern, Cu Kα X-rays. Input: a DFT-relaxed cell (GGA-PBE, Alexandria).

Structural model:
```
data_Tl4Os6O19
_space_group_name_H-M_alt 'I 2 3'
_space_group_IT_number 197
_space_group_name_Hall 'I 2 2 3'
_cell_length_a 9.446
_cell_length_b 9.446
_cell_length_c 9.446
_cell_angle_alpha 90.00
_cell_angle_beta 90.00
_cell_angle_gamma 90.00
loop_
_atom_site_label
_atom_site_fract_x
_atom_site_fract_y
_atom_site_fract_z
_atom_site_occupancy
Tl1 0.144 0.144 0.856 1
Os1 0.000 0.355 0.500 1
O1 0.000 0.000 0.000 1
O2 0.000 0.000 0.346 1
O3 0.002 0.363 0.297 1
```

Peak list (10 most intense, 15 to 90 degrees two-theta, by intensity)
- 29.9 deg, I = 100.0
- 49.2 deg, I = 59.3
- 35.6 deg, I = 52.4
- 23.1 deg, I = 48.8
- 58.6 deg, I = 27.0
- 18.8 deg, I = 25.0
- 89.2 deg, I = 23.6
- 53.1 deg, I = 20.6
- 32.8 deg, I = 17.5
- 67.2 deg, I = 14.1